Calculated X-ray diffraction stick pattern of CrCu3P4O16 for CuKα, from a cell relaxed with GGA+U.
Neutral-atom scattering factors, no anomalous dispersion.

The 8 most intense peaks (10 to 90 degrees two-theta), by angle:
d/Å  2θ/deg  I (rel.)  (hkl)
5.034  17.6  62  0 0 2
4.666  19.0  100  1 0 -1
4.429  20.0  42  1 0 1
3.701  24.0  34  1 0 -2
2.990  29.9  74  0 2 0
2.517  35.7  37  1 2 -1
2.478  36.3  32  1 1 3
2.318  38.9  33  1 0 -4

Cell and atoms:
```
CrCu3P4O16
1.0
5.101 0.000 0.000
0.000 5.980 0.000
-0.652 0.000 10.068
Cr Cu P O
1 3 4 16
direct
0.000 0.000 0.000
0.166 0.500 0.603
0.381 0.500 0.099
0.673 0.000 0.477
0.123 0.000 0.684
0.478 0.000 0.179
0.585 0.500 0.403
0.957 0.500 0.890
0.180 0.000 0.835
0.260 0.500 0.924
0.262 0.199 0.618
0.262 0.801 0.618
0.292 0.500 0.432
0.302 0.191 0.108
0.302 0.809 0.108
0.436 0.000 0.328
0.603 0.500 0.251
0.747 0.302 0.466
0.747 0.698 0.466
0.766 0.000 0.152
0.821 0.000 0.652
0.827 0.290 0.947
0.827 0.710 0.947
0.930 0.500 0.735
```